1.
Theoretical PXRD pattern
Compound: Sr3Ga2Cu2
Radiation: Cu Kα
Structure: the GGA-PBE geometry in Alexandria
No peak broadening, texture or thermal motion is included.

Top 12 peaks for 2θ = 10–90°, sorted by position:
Position (°2θ)  I (rel.)
28.29  389
31.25  602
31.46  439
31.96  553
33.14  336
34.53  730
36.38  256
36.93  1000
38.93  289
44.61  288
53.01  212
59.17  164

Structure:
```
data_Sr3Ga2Cu2
_cell_length_a 6.0685
_cell_length_b 8.6221
_cell_length_c 13.8815
_cell_angle_alpha 90.00
_cell_angle_beta 90.00
_cell_angle_gamma 90.00
_symmetry_space_group_name_H-M 'P b c m'
_symmetry_Int_Tables_number 57
loop_
_symmetry_equiv_pos_as_xyz
'x,y,z'
'-x,-y,-z'
'-x,-y,z+1/2'
'x,y,-z+1/2'
'x,-y+1/2,-z'
'-x,y+1/2,z'
'-x,y+1/2,-z+1/2'
'x,-y+1/2,z+1/2'
loop_
_atom_site_label
_atom_site_type_symbol
_atom_site_fract_x
_atom_site_fract_y
_atom_site_fract_z
_atom_site_occupancy
Sr1 Sr 0.1346 0.1124 0.1015 1
Sr2 Sr 0.3458 0.7402 0.7500 1
Ga1 Ga 0.1831 0.0879 0.7500 1
Ga2 Ga 0.3805 0.7500 0.0000 1
Cu1 Cu 0.3884 0.0275 0.5852 1
```

=====

2.
Theoretical PXRD pattern
Compound: Ta6Mo5Rh
Radiation: Cu Kα
Structure: the GGA-PBE geometry in Alexandria
No peak broadening, texture or thermal motion is included.

Top 12 peaks for 2θ = 10–90°, sorted by position:
Position (°2θ)  I (rel.)
27.64  68
27.75  33
39.54  1000
48.95  31
57.08  113
57.32  56
64.57  14
64.63  14
71.68  230
71.84  114
85.01  37
85.22  74

Structure:
```
data_Ta6Mo5Rh
_cell_length_a 4.5631
_cell_length_b 6.4294
_cell_length_c 13.6945
_cell_angle_alpha 90.00
_cell_angle_beta 90.00
_cell_angle_gamma 90.00
_symmetry_space_group_name_H-M 'I m m m'
_symmetry_Int_Tables_number 71
_symmetry_space_group_name_Hall '-I 2 2'
loop_
_atom_site_label
_atom_site_type_symbol
_atom_site_fract_x
_atom_site_fract_y
_atom_site_fract_z
_atom_site_occupancy
Ta1 Ta 0.0000 0.2463 0.0000 1
Ta2 Ta 0.0000 0.2519 0.3323 1
Mo1 Mo 0.0000 0.0000 0.1670 1
Mo2 Mo 0.0000 0.5000 0.1643 1
Mo3 Mo 0.0000 0.5000 0.5000 1
Rh1 Rh 0.0000 0.0000 0.5000 1
```

=====

3.
Theoretical PXRD pattern
Compound: TbGd3N
Radiation: Cu Kα
Structure: the GGA-PBE geometry in Alexandria
No peak broadening, texture or thermal motion is included.

Top 8 peaks for 2θ = 10–90°, sorted by position:
Position (°2θ)  I (rel.)
30.87  1000
35.80  553
51.53  390
61.29  432
64.33  133
75.86  62
84.11  181
86.83  179

Structure:
```
data_TbGd3N
_cell_length_a 5.0164
_cell_length_b 5.0164
_cell_length_c 5.0164
_cell_angle_alpha 90.00
_cell_angle_beta 90.00
_cell_angle_gamma 90.00
_symmetry_space_group_name_H-M 'P m -3 m'
_symmetry_Int_Tables_number 221
_symmetry_space_group_name_Hall '-P 4 2 3'
loop_
_atom_site_label
_atom_site_type_symbol
_atom_site_fract_x
_atom_site_fract_y
_atom_site_fract_z
_atom_site_occupancy
Tb1 Tb 0.0000 0.0000 0.0000 1
Gd1 Gd 0.0000 0.5000 0.5000 1
N1 N 0.5000 0.5000 0.5000 1
```

=====

4.
Theoretical PXRD pattern
Compound: Dy5Er2Ir4
Radiation: Cu Kα
Structure: the GGA-PBE geometry in Alexandria
No peak broadening, texture or thermal motion is included.

Top 12 peaks for 2θ = 10–90°, sorted by position:
Position (°2θ)  I (rel.)
16.22  191
21.89  153
32.84  1000
32.88  271
33.25  238
35.77  165
39.48  160
44.04  261
44.84  296
45.33  202
47.30  129
56.04  121

Structure:
```
data_Dy5Er2Ir4
_cell_length_a 25.6025
_cell_length_b 4.1119
_cell_length_c 5.4892
_cell_angle_alpha 90.00
_cell_angle_beta 95.30
_cell_angle_gamma 90.00
_symmetry_space_group_name_H-M 'C 1 2/m 1'
_symmetry_Int_Tables_number 12
loop_
_symmetry_equiv_pos_as_xyz
'x,y,z'
'-x,-y,-z'
'-x,y,-z'
'x,-y,z'
'x+1/2,y+1/2,z'
'-x+1/2,-y+1/2,-z'
'-x+1/2,y+1/2,-z'
'x+1/2,-y+1/2,z'
loop_
_atom_site_label
_atom_site_type_symbol
_atom_site_fract_x
_atom_site_fract_y
_atom_site_fract_z
_atom_site_occupancy
Dy1 Dy 0.0000 0.0000 0.0000 1
Dy2 Dy 0.1530 0.0000 0.0854 1
Dy3 Dy 0.2042 0.5000 0.6145 1
Er1 Er 0.0673 0.5000 0.5288 1
Ir1 Ir 0.0779 0.5000 0.0328 1
Ir2 Ir 0.2371 0.5000 0.1492 1
```

=====

5.
Theoretical PXRD pattern
Compound: NiSe2Br
Radiation: Cu Kα
Structure: the GGA-PBE geometry in Alexandria
No peak broadening, texture or thermal motion is included.

Top 12 peaks for 2θ = 10–90°, sorted by position:
Position (°2θ)  I (rel.)
16.02  1000
24.84  598
27.30  763
28.57  159
30.26  282
30.84  494
34.08  181
47.90  253
49.14  180
49.47  145
52.05  149
52.23  185

Structure:
```
data_NiSe2Br
_cell_length_a 7.9086
_cell_length_b 5.2261
_cell_length_c 12.5798
_cell_angle_alpha 90.00
_cell_angle_beta 118.40
_cell_angle_gamma 90.00
_symmetry_space_group_name_H-M 'P 1 21/c 1'
_symmetry_Int_Tables_number 14
loop_
_symmetry_equiv_pos_as_xyz
'x,y,z'
'-x,-y,-z'
'-x,y+1/2,-z+1/2'
'x,-y+1/2,z+1/2'
loop_
_atom_site_label
_atom_site_type_symbol
_atom_site_fract_x
_atom_site_fract_y
_atom_site_fract_z
_atom_site_occupancy
Ni1 Ni 0.1885 0.1956 0.2497 1
Se1 Se 0.2949 0.5039 0.1656 1
Se2 Se 0.4211 0.6141 0.8338 1
Br1 Br 0.0933 0.0531 0.8717 1
```